Starting from DFT lattice parameters and positions (PBE), the X-ray diffraction stick pattern of La3Co2Ge2 was computed for a wavelength of 1.5418 Å.
No peak broadening, texture or thermal motion is included.

Top 6 peaks for 10° ≤ 2θ ≤ 80°, in order of rising 2θ:
| 2theta | I (rel.) |
| --- | --- |
| 25.7 | 27 |
| 30.9 | 100 |
| 32.8 | 58 |
| 35.7 | 50 |
| 41.3 | 33 |
| 42.0 | 31 |

Structure:
```
La3Co2Ge2
1.0
-2.153 2.185 8.752
2.153 -2.185 8.752
2.153 2.185 -8.752
La Co Ge
3 2 2
Direct
0.000 0.000 0.000
0.177 0.677 0.500
0.823 0.323 0.500
0.436 0.436 0.000
0.564 0.564 0.000
0.366 0.866 0.500
0.634 0.134 0.500
```



Starting from DFT lattice parameters and positions (PBE), the X-ray diffraction stick pattern of LaCoNiGe2 was computed for a wavelength of 1.5418 Å.
No peak broadening, texture or thermal motion is included.

Top 6 peaks for 10° ≤ 2θ ≤ 80°, in order of rising 2θ:
| 2theta | I (rel.) |
| --- | --- |
| 30.4 | 26 |
| 34.2 | 100 |
| 35.3 | 84 |
| 43.5 | 65 |
| 56.5 | 47 |
| 63.5 | 23 |

Structure:
```
LaCoNiGe2
1.0
-2.079 2.079 5.071
2.079 -2.079 5.071
2.079 2.079 -5.071
La Co Ni Ge
1 1 1 2
Direct
0.000 0.000 0.000
0.250 0.750 0.500
0.750 0.250 0.500
0.366 0.366 0.000
0.634 0.634 0.000
```



Starting from DFT lattice parameters and positions (PBE), the X-ray diffraction stick pattern of Li3Co4Ge4 was computed for a wavelength of 1.5418 Å.
No peak broadening, texture or thermal motion is included.

Top 6 peaks for 10° ≤ 2θ ≤ 80°, in order of rising 2θ:
| 2theta | I (rel.) |
| --- | --- |
| 17.8 | 100 |
| 25.2 | 39 |
| 36.0 | 23 |
| 40.4 | 50 |
| 48.3 | 56 |
| 55.2 | 56 |

Structure:
```
Li3Co4Ge4
1.0
-3.528 3.528 3.528
3.528 -3.528 3.528
3.528 3.528 -3.528
Li Co Ge
3 4 4
Direct
0.000 0.500 0.500
0.500 0.000 0.500
0.500 0.500 0.000
0.000 0.000 0.252
0.000 0.252 0.000
0.252 0.000 0.000
0.748 0.748 0.748
0.000 0.000 0.616
0.000 0.616 0.000
0.384 0.384 0.384
0.616 0.000 0.000
```



What did the first record say?
Starting from DFT lattice parameters and positions (PBE), the X-ray diffraction stick pattern of La3Co2Ge2 was computed for a wavelength of 1.5418 Å.
No peak broadening, texture or thermal motion is included.

Top 6 peaks for 10° ≤ 2θ ≤ 80°, in order of rising 2θ:
| 2theta | I (rel.) |
| --- | --- |
| 25.7 | 27 |
| 30.9 | 100 |
| 32.8 | 58 |
| 35.7 | 50 |
| 41.3 | 33 |
| 42.0 | 31 |

Structure:
```
La3Co2Ge2
1.0
-2.153 2.185 8.752
2.153 -2.185 8.752
2.153 2.185 -8.752
La Co Ge
3 2 2
Direct
0.000 0.000 0.000
0.177 0.677 0.500
0.823 0.323 0.500
0.436 0.436 0.000
0.564 0.564 0.000
0.366 0.866 0.500
0.634 0.134 0.500
```